TbPd2Pt2: theoretical powder diffraction line list (Cu Kα X-rays), based on a DFT-relaxed cell (GGA-PBE, Alexandria).
Lines closer than 0.1° are merged.

Largest 8 diffraction maxima, in order of rising 2θ, 2θ = 10–90°:
Position (°2θ)	I_rel
21.1	43
29.3	74
36.2	30
39.6	100
40.1	32
41.0	46
41.8	45
45.3	23

Structure:
Cell: 5.3112 8.4270 4.4031 Å, 90.00 90.00 90.00°
Fractional positions:
Tb 0.0000 0.0000 0.0000
Tb 0.5000 0.5000 0.0000
Pd 0.0019 0.3385 0.0000
Pd 0.4981 0.8385 0.0000
Pd 0.5019 0.1615 0.0000
Pd 0.9981 0.6615 0.0000
Pt 0.2378 0.2316 0.5000
Pt 0.2622 0.7316 0.5000
Pt 0.7378 0.2684 0.5000
Pt 0.7622 0.7684 0.5000



Tb2Dy3PuSe6: theoretical powder diffraction line list (Cu Kα X-rays), based on a DFT-relaxed cell (GGA-PBE, Alexandria).
Lines closer than 0.1° are merged.

Largest 8 diffraction maxima, in order of rising 2θ, 2θ = 10–90°:
Position (°2θ)	I_rel
26.6	13
26.8	13
30.9	100
44.1	13
44.3	50
54.8	13
55.2	13
73.1	17

Structure:
Cell: 9.1538 9.1538 8.2178 Å, 103.06 103.06 25.70°
Fractional positions:
Tb 0.1640 0.1640 0.3290
Tb 0.8360 0.8360 0.6710
Dy 0.1654 0.1654 0.8353
Dy 0.5000 0.5000 0.5000
Dy 0.8346 0.8346 0.1647
Pu 0.5000 0.5000 0.0000
Se 0.0008 0.0008 0.7465
Se 0.3313 0.3313 0.9167
Se 0.3326 0.3326 0.4155
Se 0.6674 0.6674 0.5845
Se 0.6687 0.6687 0.0833
Se 0.9992 0.9992 0.2535



Sr5LaIn6: theoretical powder diffraction line list (Cu Kα X-rays), based on a DFT-relaxed cell (GGA-PBE, Alexandria).
Lines closer than 0.1° are merged.

Largest 8 diffraction maxima, in order of rising 2θ, 2θ = 10–90°:
Position (°2θ)	I_rel
31.2	100
31.3	49
44.5	9
44.9	18
55.4	19
55.7	37
65.0	11
74.2	12

Structure:
Cell: 9.0368 9.0368 8.1457 Å, 90.00 90.00 143.18°
Fractional positions:
Sr 0.0000 0.0000 0.0000
Sr 0.3306 0.6694 0.5000
Sr 0.3326 0.6674 0.0000
Sr 0.6674 0.3326 0.0000
Sr 0.6694 0.3306 0.5000
La 0.0000 0.0000 0.5000
In 0.1626 0.8374 0.2527
In 0.1626 0.8374 0.7473
In 0.5000 0.5000 0.2571
In 0.5000 0.5000 0.7429
In 0.8374 0.1626 0.2527
In 0.8374 0.1626 0.7473



LaYZnPd: theoretical powder diffraction line list (Cu Kα X-rays), based on a DFT-relaxed cell (GGA-PBE, Alexandria).
Lines closer than 0.1° are merged.

Largest 8 diffraction maxima, in order of rising 2θ, 2θ = 10–90°:
Position (°2θ)	I_rel
30.8	100
32.9	22
33.5	36
38.3	31
38.9	98
45.8	21
52.3	20
61.6	17

Structure:
Cell: 4.6257 3.9638 10.8980 Å, 90.00 90.00 90.00°
Fractional positions:
La 0.0000 0.0000 0.0000
La 0.0000 0.5000 0.5000
Y 0.5000 0.0000 0.2826
Y 0.5000 0.5000 0.7826
Zn 0.5000 0.0000 0.5729
Zn 0.5000 0.5000 0.0729
Pd 0.0000 0.0000 0.7182
Pd 0.0000 0.5000 0.2182



SmTlCdAu: theoretical powder diffraction line list (Cu Kα X-rays), based on a DFT-relaxed cell (GGA-PBE, Alexandria).
Lines closer than 0.1° are merged.

Largest 8 diffraction maxima, in order of rising 2θ, 2θ = 10–90°:
Position (°2θ)	I_rel
24.5	5
35.0	100
43.2	2
50.3	18
56.7	2
62.7	37
73.9	11
84.4	17

Structure:
Cell: 7.2586 7.2586 7.2586 Å, 90.00 90.00 90.00°
Fractional positions:
Sm 0.0000 0.0000 0.0000
Sm 0.0000 0.5000 0.5000
Sm 0.5000 0.0000 0.5000
Sm 0.5000 0.5000 0.0000
Tl 0.2500 0.2500 0.7500
Tl 0.2500 0.7500 0.2500
Tl 0.7500 0.2500 0.2500
Tl 0.7500 0.7500 0.7500
Cd 0.0000 0.0000 0.5000
Cd 0.0000 0.5000 0.0000
Cd 0.5000 0.0000 0.0000
Cd 0.5000 0.5000 0.5000
Au 0.2500 0.2500 0.2500
Au 0.2500 0.7500 0.7500
Au 0.7500 0.2500 0.7500
Au 0.7500 0.7500 0.2500



AcPr12Ho7: theoretical powder diffraction line list (Cu Kα X-rays), based on a DFT-relaxed cell (GGA-PBE, Alexandria).
Lines closer than 0.1° are merged.

Largest 8 diffraction maxima, in order of rising 2θ, 2θ = 10–90°:
Position (°2θ)	I_rel
29.7	30
30.1	27
30.4	100
31.6	51
32.0	63
33.0	20
52.3	15
52.9	30

Structure:
Cell: 8.8968 8.8968 8.8968 Å, 89.00 89.00 89.00°
Fractional positions:
Ac 0.0000 0.0000 0.0000
Pr 0.1354 0.2755 0.7214
Pr 0.1426 0.6271 0.4961
Pr 0.2755 0.7214 0.1354
Pr 0.2786 0.8646 0.7245
Pr 0.3729 0.5039 0.8574
Pr 0.4961 0.1426 0.6271
Pr 0.5039 0.8574 0.3729
Pr 0.6271 0.4961 0.1426
Pr 0.7214 0.1354 0.2755
Pr 0.7245 0.2786 0.8646
Pr 0.8574 0.3729 0.5039
Pr 0.8646 0.7245 0.2786
Ho 0.0609 0.3859 0.1529
Ho 0.1529 0.0609 0.3859
Ho 0.3859 0.1529 0.0609
Ho 0.5000 0.5000 0.5000
Ho 0.6141 0.8471 0.9391
Ho 0.8471 0.9391 0.6141
Ho 0.9391 0.6141 0.8471



Cu2HgTeBr2: theoretical powder diffraction line list (Cu Kα X-rays), based on a DFT-relaxed cell (GGA-PBE, Alexandria).
Lines closer than 0.1° are merged.

Largest 8 diffraction maxima, in order of rising 2θ, 2θ = 10–90°:
Position (°2θ)	I_rel
13.6	31
18.7	33
23.0	100
26.5	51
29.3	61
35.5	45
36.8	36
40.0	33

Structure:
Cell: 7.7276 7.7276 6.8860 Å, 90.00 90.00 57.68°
Fractional positions:
Cu 0.0334 0.3188 0.0000
Cu 0.3188 0.0334 0.5000
Cu 0.6812 0.9666 0.0000
Cu 0.9666 0.6812 0.5000
Hg 0.4781 0.5219 0.8830
Hg 0.5219 0.4781 0.3830
Te 0.2208 0.7792 0.6048
Te 0.7792 0.2208 0.1048
Br 0.0222 0.3586 0.6390
Br 0.3586 0.0222 0.1390
Br 0.6414 0.9778 0.6390
Br 0.9778 0.6414 0.1390



SrZnCu2Ni2: theoretical powder diffraction line list (Cu Kα X-rays), based on a DFT-relaxed cell (GGA-PBE, Alexandria).
Lines closer than 0.1° are merged.

Largest 8 diffraction maxima, in order of rising 2θ, 2θ = 10–90°:
Position (°2θ)	I_rel
15.5	56
28.3	36
32.4	25
37.3	100
40.5	89
56.3	58
58.6	28
85.7	27

Structure:
Cell: 4.4541 4.4541 5.7249 Å, 90.00 90.00 90.00°
Fractional positions:
Sr 0.0000 0.0000 0.0000
Zn 0.0000 0.0000 0.5000
Cu 0.5000 0.5000 0.2831
Cu 0.5000 0.5000 0.7169
Ni 0.0000 0.5000 0.5000
Ni 0.5000 0.0000 0.5000



NaCu2Se2O10: theoretical powder diffraction line list (Cu Kα X-rays), based on a DFT-relaxed cell (GGA-PBE, Alexandria).
Lines closer than 0.1° are merged.

Largest 8 diffraction maxima, in order of rising 2θ, 2θ = 10–90°:
Position (°2θ)	I_rel
12.6	30
18.1	64
23.0	100
25.9	52
31.0	43
31.6	35
32.0	36
34.6	52

Structure:
Cell: 5.6890 5.6890 8.3267 Å, 116.79 116.79 65.89°
Fractional positions:
Na 0.0000 0.0000 0.0000
Cu 0.0000 0.5000 0.5000
Cu 0.5000 0.0000 0.5000
Se 0.4207 0.4207 0.2040
Se 0.5793 0.5793 0.7960
O 0.1775 0.1775 0.5399
O 0.2287 0.6823 0.7383
O 0.2926 0.2926 0.9728
O 0.3177 0.7713 0.2617
O 0.3222 0.3222 0.3185
O 0.6778 0.6778 0.6815
O 0.6823 0.2287 0.7383
O 0.7074 0.7074 0.0272
O 0.7713 0.3177 0.2617
O 0.8225 0.8225 0.4601



Pu2I4Cl: theoretical powder diffraction line list (Cu Kα X-rays), based on a DFT-relaxed cell (GGA-PBE, Alexandria).
Lines closer than 0.1° are merged.

Largest 8 diffraction maxima, in order of rising 2θ, 2θ = 10–90°:
Position (°2θ)	I_rel
13.6	100
16.1	40
20.2	60
28.1	79
32.1	76
32.6	39
37.4	37
43.1	40

Structure:
Cell: 11.0383 4.4373 13.6790 Å, 90.00 108.26 90.00°
Fractional positions:
Pu 0.0985 0.0000 0.2092
Pu 0.4015 0.5000 0.7908
Pu 0.5985 0.5000 0.2092
Pu 0.9015 0.0000 0.7908
I 0.0904 0.5000 0.3677
I 0.2133 0.0000 0.8360
I 0.2867 0.5000 0.1640
I 0.4096 0.0000 0.6323
I 0.5904 0.0000 0.3677
I 0.7133 0.5000 0.8360
I 0.7867 0.0000 0.1640
I 0.9096 0.5000 0.6323
Cl 0.0000 0.0000 0.0000
Cl 0.5000 0.5000 0.0000



TmCd12Hg7: theoretical powder diffraction line list (Cu Kα X-rays), based on a DFT-relaxed cell (GGA-PBE, Alexandria).
Lines closer than 0.1° are merged.

Largest 8 diffraction maxima, in order of rising 2θ, 2θ = 10–90°:
Position (°2θ)	I_rel
32.0	34
32.4	62
34.8	100
34.9	80
35.4	83
38.0	28
54.8	29
63.3	30

Structure:
Cell: 7.9178 7.9178 7.9178 Å, 98.62 98.62 98.62°
Fractional positions:
Tm 0.0000 0.0000 0.0000
Cd 0.0000 0.2718 0.7282
Cd 0.0000 0.7282 0.2718
Cd 0.1688 0.6024 0.6024
Cd 0.2718 0.0000 0.7282
Cd 0.2718 0.7282 0.0000
Cd 0.3977 0.3976 0.8312
Cd 0.3977 0.8312 0.3977
Cd 0.6024 0.1688 0.6024
Cd 0.6024 0.6023 0.1688
Cd 0.7282 0.0000 0.2718
Cd 0.7282 0.2718 0.0000
Cd 0.8312 0.3977 0.3976
Hg 0.1384 0.1384 0.4007
Hg 0.1384 0.4007 0.1384
Hg 0.4007 0.1384 0.1384
Hg 0.5000 0.5000 0.5000
Hg 0.5993 0.8616 0.8616
Hg 0.8616 0.5993 0.8616
Hg 0.8616 0.8616 0.5993



ScPdS2: theoretical powder diffraction line list (Cu Kα X-rays), based on a DFT-relaxed cell (GGA-PBE, Alexandria).
Lines closer than 0.1° are merged.

Largest 8 diffraction maxima, in order of rising 2θ, 2θ = 10–90°:
Position (°2θ)	I_rel
13.0	74
26.2	50
27.1	58
28.1	100
32.0	48
41.1	54
47.2	62
54.8	35

Structure:
Cell: 3.8533 3.8533 20.4110 Å, 90.00 90.00 120.00°
Fractional positions:
Sc 0.0000 0.0000 0.0000
Sc 0.3333 0.6667 0.6667
Sc 0.6667 0.3333 0.3333
Pd 0.0000 0.0000 0.8716
Pd 0.3333 0.6667 0.5383
Pd 0.6667 0.3333 0.2050
S 0.0000 0.0000 0.3898
S 0.0000 0.0000 0.5753
S 0.3333 0.6667 0.0565
S 0.3333 0.6667 0.2419
S 0.6667 0.3333 0.7232
S 0.6667 0.3333 0.9086